Diffraction record for BaSr2I6. The powder diffraction line list is computed, not measured: it uses the PBE geometry in the Materials Project and copper Kα.
Intensities are scaled so that the largest is 100.

Principal peaks in the range 2θ from 10° to 90°, sorted by position:
23.5°, d 3.779, I 70
24.2°, d 3.681, I 41
24.3°, d 3.663, I 74
24.7°, d 3.611, I 25
26.1°, d 3.408, I 100
27.5°, d 3.242, I 55
28.5°, d 3.135, I 56
30.5°, d 2.934, I 29
30.9°, d 2.898, I 55
31.7°, d 2.823, I 66
32.5°, d 2.754, I 26
34.5°, d 2.600, I 45

Cell and atoms:
a b c (Å): 8.974 8.974 11.921
angles (deg): 92.92 92.92 119.30
Element x y z (fractional)
Ba 0.032 0.968 0.750
Ba 0.968 0.032 0.250
Sr 0.296 0.606 0.445
Sr 0.394 0.704 0.055
Sr 0.606 0.296 0.945
Sr 0.704 0.394 0.555
I 0.022 0.758 0.467
I 0.066 0.452 0.195
I 0.242 0.978 0.033
I 0.303 0.390 0.866
I 0.390 0.303 0.366
I 0.452 0.066 0.695
I 0.548 0.934 0.305
I 0.610 0.697 0.634
I 0.697 0.610 0.134
I 0.758 0.022 0.967
I 0.934 0.548 0.805
I 0.978 0.242 0.533